The following is a computed XRD peak list of CoSnSO. It was derived from DFT lattice parameters and positions (GGA+U), using CuKα.
Peak positions follow from Bragg's law for the DFT cell and can differ from measured ones.

Main lines, by angle (10 to 80 degrees two-theta):
d/Å	I/Imax	hkl
3.144	100	1 0 1
2.992	50	0 0 4
2.862	91	1 0 2
2.524	99	1 0 3
1.929	17	1 0 5
1.881	63	1 1 0
1.701	36	1 0 6
1.593	46	1 1 4
1.514	18	1 0 7
1.508	20	2 0 3

Cell and atoms:
Lattice parameters (Å, degrees): 3.763 3.763 11.967 90.00 90.00 120.00
Sites, in units of the cell vectors:
Co 0.000 0.000 0.000
Co 0.000 0.000 0.500
Sn 0.333 0.667 0.263
Sn 0.667 0.333 0.763
S 0.333 0.667 0.570
S 0.667 0.333 0.070
O 0.000 0.000 0.338
O 0.000 0.000 0.838